Diffraction record for Th6InHg5. The powder XRD pattern is calculated, not measured: it uses a cell relaxed with GGA-PBE and Cu Kα (weighted mean of Kα1 and Kα2).
No peak broadening, texture or thermal motion is included.

The 10 most intense peaks (2θ = 10–90°), by angle:
- d 2.757, 2θ 32.5, rel. 53, (2 0 0)
- d 2.695, 2θ 33.2, rel. 100, (1 3 2)
- d 1.949, 2θ 46.6, rel. 20, (2 6 0)
- d 1.865, 2θ 48.8, rel. 9, (0 0 4)
- d 1.580, 2θ 58.4, rel. 41, (3 3 2)
- d 1.545, 2θ 59.9, rel. 19, (2 0 4)
- d 1.348, 2θ 69.8, rel. 12, (2 6 4)
- d 1.234, 2θ 77.3, rel. 5, (2 12 0)
- d 1.227, 2θ 77.8, rel. 9, (3 9 2)
- d 1.185, 2θ 81.2, rel. 8, (1 3 6)

Cell and atoms:
```
data_Th6InHg5
_cell_length_a 5.5069
_cell_length_b 16.5591
_cell_length_c 7.4619
_cell_angle_alpha 90.00
_cell_angle_beta 90.00
_cell_angle_gamma 90.00
_space_group_name_H-M_alt 'C m m m'
_space_group_IT_number 65
_space_group_name_Hall '-C 2 2'
loop_
_atom_site_label
_atom_site_fract_x
_atom_site_fract_y
_atom_site_fract_z
Th1 0.0000 0.0000 0.2492
Th2 0.0000 0.3334 0.2519
In1 0.0000 0.5000 0.0000
Hg1 0.0000 0.1655 0.5000
Hg2 0.0000 0.1694 0.0000
Hg3 0.0000 0.5000 0.5000
```

Diffraction record for Th7In2Hg2. The powder XRD pattern is calculated, not measured: it uses a cell relaxed with GGA-PBE and Cu Kα (weighted mean of Kα1 and Kα2).
No peak broadening, texture or thermal motion is included.

The 10 most intense peaks (2θ = 10–90°), by angle:
- d 3.608, 2θ 24.7, rel. 55, (2 0 1)
- d 3.322, 2θ 26.8, rel. 99, (2 2 0)
- d 2.849, 2θ 31.4, rel. 68, (0 4 0)
- d 2.562, 2θ 35.0, rel. 65, (0 0 3)
- d 2.511, 2θ 35.8, rel. 100, (2 2 2)
- d 2.236, 2θ 40.3, rel. 24, (2 4 1)
- d 2.044, 2θ 44.3, rel. 21, (4 0 0)
- d 1.919, 2θ 47.4, rel. 22, (0 0 4)
- d 1.661, 2θ 55.3, rel. 23, (4 4 0)
- d 1.393, 2θ 67.2, rel. 23, (4 4 3)

Cell and atoms:
```
data_Th7In2Hg2
_cell_length_a 8.1761
_cell_length_b 11.3957
_cell_length_c 7.6759
_cell_angle_alpha 90.00
_cell_angle_beta 90.00
_cell_angle_gamma 90.00
_space_group_name_H-M_alt 'C m m m'
_space_group_IT_number 65
_space_group_name_Hall '-C 2 2'
loop_
_atom_site_label
_atom_site_fract_x
_atom_site_fract_y
_atom_site_fract_z
Th1 0.0000 0.0000 0.0000
Th2 0.0000 0.5000 0.2610
Th3 0.2500 0.2500 0.2988
In1 0.1682 0.0000 0.5000
Hg1 0.0000 0.2819 0.0000
```

Diffraction record for YTh2In3Hg6. The powder XRD pattern is calculated, not measured: it uses a cell relaxed with GGA-PBE and Cu Kα (weighted mean of Kα1 and Kα2).
No peak broadening, texture or thermal motion is included.

The 10 most intense peaks (2θ = 10–90°), by angle:
- d 4.204, 2θ 21.1, rel. 45, (0 0 5)
- d 2.973, 2θ 30.1, rel. 46, (1 0 5)
- d 2.944, 2θ 30.4, rel. 95, (1 1 1)
- d 2.737, 2θ 32.7, rel. 58, (1 1 3)
- d 2.588, 2θ 34.7, rel. 78, (1 1 4)
- d 2.444, 2θ 36.8, rel. 100, (1 0 7)
- d 2.102, 2θ 43.0, rel. 98, (2 0 0)
- d 1.594, 2θ 57.9, rel. 54, (2 1 7)
- d 1.487, 2θ 62.5, rel. 42, (2 2 0)
- d 1.340, 2θ 70.2, rel. 39, (1 1 14)

Cell and atoms:
```
data_YTh2In3Hg6
_cell_length_a 4.2048
_cell_length_b 4.2048
_cell_length_c 21.0208
_cell_angle_alpha 90.00
_cell_angle_beta 90.00
_cell_angle_gamma 90.00
_space_group_name_H-M_alt 'P 4/m m m'
_space_group_IT_number 123
_space_group_name_Hall '-P 4 2'
loop_
_atom_site_label
_atom_site_fract_x
_atom_site_fract_y
_atom_site_fract_z
Y1 0.0000 0.0000 0.0000
Th1 0.0000 0.0000 0.2835
In1 0.5000 0.5000 0.2177
In2 0.5000 0.5000 0.5000
Hg1 0.0000 0.5000 0.1102
Hg2 0.5000 0.5000 0.3650
```

Diffraction record for Ti3InHg. The powder XRD pattern is calculated, not measured: it uses a cell relaxed with GGA-PBE and Cu Kα (weighted mean of Kα1 and Kα2).
No peak broadening, texture or thermal motion is included.

The 10 most intense peaks (2θ = 10–90°), by angle:
- d 7.420, 2θ 11.9, rel. 40, (0 2 0)
- d 4.260, 2θ 20.9, rel. 49, (0 2 1)
- d 3.578, 2θ 24.9, rel. 44, (1 3 0)
- d 2.949, 2θ 30.3, rel. 94, (1 3 1)
- d 2.602, 2θ 34.5, rel. 51, (0 0 2)
- d 2.308, 2θ 39.0, rel. 75, (1 5 1)
- d 2.297, 2θ 39.2, rel. 35, (1 1 2)
- d 2.234, 2θ 40.4, rel. 34, (0 6 1)
- d 2.214, 2θ 40.7, rel. 100, (2 2 1)
- d 2.104, 2θ 43.0, rel. 51, (1 3 2)

Cell and atoms:
```
data_Ti3InHg
_cell_length_a 5.1840
_cell_length_b 14.8403
_cell_length_c 5.2035
_cell_angle_alpha 90.00
_cell_angle_beta 90.00
_cell_angle_gamma 90.00
_space_group_name_H-M_alt 'C m c m'
_space_group_IT_number 63
_space_group_name_Hall '-C 2c 2'
loop_
_atom_site_label
_atom_site_fract_x
_atom_site_fract_y
_atom_site_fract_z
Ti1 0.0000 0.0000 0.0000
Ti2 0.2432 0.1474 0.2500
In1 0.0000 0.1778 0.7500
Hg1 0.0000 0.4392 0.2500
```

Diffraction record for Ti6InHg. The powder XRD pattern is calculated, not measured: it uses a cell relaxed with GGA-PBE and Cu Kα (weighted mean of Kα1 and Kα2).
No peak broadening, texture or thermal motion is included.

The 10 most intense peaks (2θ = 10–90°), by angle:
- d 5.080, 2θ 17.5, rel. 23, (1 0 0)
- d 3.495, 2θ 25.5, rel. 47, (1 0 1)
- d 2.933, 2θ 30.5, rel. 19, (1 1 0)
- d 2.540, 2θ 35.3, rel. 25, (2 0 0)
- d 2.408, 2θ 37.4, rel. 27, (0 0 2)
- d 2.247, 2θ 40.1, rel. 100, (2 0 1)
- d 1.747, 2θ 52.4, rel. 16, (2 0 2)
- d 1.467, 2θ 63.4, rel. 16, (2 2 0)
- d 1.357, 2θ 69.2, rel. 19, (2 0 3)
- d 1.252, 2θ 76.0, rel. 19, (2 2 2)

Cell and atoms:
```
data_Ti6InHg
_cell_length_a 5.8662
_cell_length_b 5.8662
_cell_length_c 4.8152
_cell_angle_alpha 90.00
_cell_angle_beta 90.00
_cell_angle_gamma 120.00
_space_group_name_H-M_alt 'P -6 m 2'
_space_group_IT_number 187
_space_group_name_Hall 'P -6 2'
loop_
_atom_site_label
_atom_site_fract_x
_atom_site_fract_y
_atom_site_fract_z
Ti1 0.9995 0.4998 0.0000
Ti2 0.3395 0.1697 0.5000
In1 0.3333 0.6667 0.5000
Hg1 0.0000 0.0000 0.0000
```

Diffraction record for Tl4In2Hg. The powder XRD pattern is calculated, not measured: it uses a cell relaxed with GGA-PBE and Cu Kα (weighted mean of Kα1 and Kα2).
No peak broadening, texture or thermal motion is included.

The 10 most intense peaks (2θ = 10–90°), by angle:
- d 3.541, 2θ 25.1, rel. 40, (3 1 0)
- d 3.106, 2θ 28.7, rel. 33, (3 2 0)
- d 2.815, 2θ 31.8, rel. 100, (2 1 1)
- d 2.716, 2θ 33.0, rel. 63, (4 1 0)
- d 2.581, 2θ 34.8, rel. 51, (2 2 1)
- d 2.454, 2θ 36.6, rel. 16, (3 1 1)
- d 1.871, 2θ 48.7, rel. 33, (5 0 1)
- d 1.584, 2θ 58.3, rel. 17, (5 5 0)
- d 1.499, 2θ 61.9, rel. 26, (6 3 1)
- d 1.442, 2θ 64.6, rel. 18, (4 1 2)

Cell and atoms:
```
data_Tl4In2Hg
_cell_length_a 11.1985
_cell_length_b 11.1985
_cell_length_c 3.4035
_cell_angle_alpha 90.00
_cell_angle_beta 90.00
_cell_angle_gamma 90.00
_space_group_name_H-M_alt 'P 42/m n m'
_space_group_IT_number 136
_space_group_name_Hall '-P 4n 2n'
loop_
_atom_site_label
_atom_site_fract_x
_atom_site_fract_y
_atom_site_fract_z
Tl1 0.0796 0.3133 0.0000
In1 0.1636 0.8364 0.0000
Hg1 0.0000 0.0000 0.5000
```

Diffraction record for Tl4In8Hg3. The powder XRD pattern is calculated, not measured: it uses a cell relaxed with GGA-PBE and Cu Kα (weighted mean of Kα1 and Kα2).
No peak broadening, texture or thermal motion is included.

The 10 most intense peaks (2θ = 10–90°), by angle:
- d 4.257, 2θ 20.9, rel. 8, (1 0 2)
- d 2.741, 2θ 32.7, rel. 100, (1 1 4)
- d 2.388, 2θ 37.7, rel. 36, (2 0 0)
- d 2.348, 2θ 38.3, rel. 14, (0 0 8)
- d 1.688, 2θ 54.3, rel. 12, (2 2 0)
- d 1.674, 2θ 54.8, rel. 20, (2 0 8)
- d 1.438, 2θ 64.9, rel. 28, (3 1 4)
- d 1.420, 2θ 65.8, rel. 9, (1 1 12)
- d 1.371, 2θ 68.4, rel. 10, (2 2 8)
- d 1.095, 2θ 89.5, rel. 6, (3 3 4)

Cell and atoms:
```
data_Tl4In8Hg3
_cell_length_a 4.7755
_cell_length_b 4.7755
_cell_length_c 18.7817
_cell_angle_alpha 90.00
_cell_angle_beta 90.00
_cell_angle_gamma 90.00
_space_group_name_H-M_alt 'P -4 m 2'
_space_group_IT_number 115
loop_
_space_group_symop_operation_xyz
'x,y,z'
'y,-x,-z'
'-x,-y,z'
'-y,x,-z'
'-x,y,z'
'-y,-x,-z'
'x,-y,z'
'y,x,-z'
loop_
_atom_site_label
_atom_site_fract_x
_atom_site_fract_y
_atom_site_fract_z
Tl1 0.0000 0.5000 0.1078
Tl2 0.0000 0.5000 0.6267
In1 0.0000 0.0000 0.2430
In2 0.0000 0.5000 0.3717
In3 0.0000 0.5000 0.8851
In4 0.5000 0.5000 0.2395
Hg1 0.0000 0.0000 0.0000
Hg2 0.0000 0.0000 0.5000
Hg3 0.5000 0.5000 0.5000
```

Diffraction record for Tl4In6Hg5. The powder XRD pattern is calculated, not measured: it uses a cell relaxed with GGA-PBE and Cu Kα (weighted mean of Kα1 and Kα2).
No peak broadening, texture or thermal motion is included.

The 10 most intense peaks (2θ = 10–90°), by angle:
- d 3.300, 2θ 27.0, rel. 18, (1 1 3)
- d 3.183, 2θ 28.0, rel. 21, (0 0 4)
- d 3.093, 2θ 28.9, rel. 21, (1 3 3)
- d 2.910, 2θ 30.7, rel. 36, (1 7 1)
- d 2.841, 2θ 31.5, rel. 17, (0 4 4)
- d 2.778, 2θ 32.2, rel. 62, (1 5 3)
- d 2.706, 2θ 33.1, rel. 100, (1 7 2)
- d 2.683, 2θ 33.4, rel. 76, (2 0 0)
- d 2.603, 2θ 34.5, rel. 23, (1 3 4)
- d 1.553, 2θ 59.5, rel. 19, (3 7 2)

Cell and atoms:
```
data_Tl4In6Hg5
_cell_length_a 5.3653
_cell_length_b 25.2027
_cell_length_c 12.7319
_cell_angle_alpha 90.00
_cell_angle_beta 90.00
_cell_angle_gamma 90.00
_space_group_name_H-M_alt 'C m c 21'
_space_group_IT_number 36
loop_
_space_group_symop_operation_xyz
'x,y,z'
'-x,-y,z+1/2'
'-x,y,z'
'x,-y,z+1/2'
'x+1/2,y+1/2,z'
'-x+1/2,-y+1/2,z+1/2'
'-x+1/2,y+1/2,z'
'x+1/2,-y+1/2,z+1/2'
loop_
_atom_site_label
_atom_site_fract_x
_atom_site_fract_y
_atom_site_fract_z
Tl1 0.0000 0.0293 0.0000
Tl2 0.0000 0.0760 0.6866
Tl3 0.0000 0.1469 0.4740
Tl4 0.0000 0.1851 0.1821
In1 0.0000 0.0550 0.2786
In2 0.0000 0.2264 0.7144
In3 0.0000 0.2681 0.9514
In4 0.0000 0.3951 0.5896
In5 0.0000 0.4046 0.3465
In6 0.0000 0.4572 0.9712
Hg1 0.0000 0.1468 0.9118
Hg2 0.0000 0.2827 0.4875
Hg3 0.0000 0.3285 0.1611
Hg4 0.0000 0.3631 0.8152
Hg5 0.0000 0.5005 0.2080
```

Diffraction record for Tl3In4Hg9. The powder XRD pattern is calculated, not measured: it uses a cell relaxed with GGA-PBE and Cu Kα (weighted mean of Kα1 and Kα2).
No peak broadening, texture or thermal motion is included.

The 10 most intense peaks (2θ = 10–90°), by angle:
- d 2.876, 2θ 31.1, rel. 42, (2 -1 3)
- d 2.743, 2θ 32.6, rel. 29, (2 -1 6)
- d 2.639, 2θ 34.0, rel. 33, (0 0 18)
- d 2.558, 2θ 35.1, rel. 100, (1 1 9)
- d 2.352, 2θ 38.3, rel. 28, (1 1 12)
- d 1.789, 2θ 51.0, rel. 15, (2 -1 21)
- d 1.688, 2θ 54.3, rel. 28, (3 0 0)
- d 1.508, 2θ 61.5, rel. 17, (1 1 27)
- d 1.422, 2θ 65.6, rel. 28, (3 0 18)
- d 1.409, 2θ 66.3, rel. 15, (4 -2 9)

Cell and atoms:
```
data_Tl3In4Hg9
_cell_length_a 5.8485
_cell_length_b 5.8485
_cell_length_c 47.5058
_cell_angle_alpha 90.00
_cell_angle_beta 90.00
_cell_angle_gamma 120.00
_space_group_name_H-M_alt 'R 3'
_space_group_IT_number 146
_space_group_name_Hall 'R 3'
loop_
_atom_site_label
_atom_site_fract_x
_atom_site_fract_y
_atom_site_fract_z
Tl1 0.0000 0.0000 0.0000
Tl2 0.0000 0.0000 0.2221
Tl3 0.0000 0.0000 0.5498
In1 0.0000 0.0000 0.3353
In2 0.0000 0.0000 0.4423
In3 0.0000 0.0000 0.7754
In4 0.0000 0.0000 0.8876
Hg1 0.0019 0.6574 0.3886
Hg2 0.0224 0.3486 0.2799
Hg3 0.0254 0.6767 0.8272
```

Diffraction record for Tl2In7Hg12. The powder XRD pattern is calculated, not measured: it uses a cell relaxed with GGA-PBE and Cu Kα (weighted mean of Kα1 and Kα2).
No peak broadening, texture or thermal motion is included.

The 10 most intense peaks (2θ = 10–90°), by angle:
- d 2.768, 2θ 32.3, rel. 100, (-1 1 3)
- d 2.729, 2θ 32.8, rel. 95, (1 -3 2)
- d 2.719, 2θ 32.9, rel. 96, (1 1 3)
- d 2.664, 2θ 33.6, rel. 88, (1 3 -2)
- d 2.457, 2θ 36.6, rel. 75, (2 0 0)
- d 2.322, 2θ 38.8, rel. 58, (0 2 -5)
- d 2.296, 2θ 39.2, rel. 56, (0 4 1)
- d 1.705, 2θ 53.8, rel. 22, (-2 4 1)
- d 1.692, 2θ 54.2, rel. 22, (2 -2 5)
- d 1.683, 2θ 54.5, rel. 22, (2 2 -5)

Cell and atoms:
```
data_Tl2In7Hg12
_cell_length_a 4.9170
_cell_length_b 10.1940
_cell_length_c 11.8928
_cell_angle_alpha 104.54
_cell_angle_beta 90.11
_cell_angle_gamma 91.77
_space_group_name_H-M_alt 'P -1'
_space_group_IT_number 2
loop_
_space_group_symop_operation_xyz
'x,y,z'
'-x,-y,-z'
loop_
_atom_site_label
_atom_site_fract_x
_atom_site_fract_y
_atom_site_fract_z
Tl1 0.9997 0.1707 0.2557
In1 0.0041 0.1065 0.6303
In2 0.4929 0.9341 0.1739
In3 0.4984 0.5889 0.6428
In4 0.5000 0.5000 0.0000
Hg1 0.0029 0.3618 0.5329
Hg2 0.0071 0.5327 0.8221
Hg3 0.0101 0.2548 0.9201
Hg4 0.4903 0.6797 0.2796
Hg5 0.4982 0.2090 0.0867
Hg6 0.4994 0.8717 0.5569
```

Diffraction record for Tl2In8Hg. The powder XRD pattern is calculated, not measured: it uses a cell relaxed with GGA-PBE and Cu Kα (weighted mean of Kα1 and Kα2).
No peak broadening, texture or thermal motion is included.

The 10 most intense peaks (2θ = 10–90°), by angle:
- d 2.786, 2θ 32.1, rel. 100, (5 1 -1)
- d 2.734, 2θ 32.8, rel. 98, (1 1 2)
- d 2.582, 2θ 34.7, rel. 42, (6 0 1)
- d 2.334, 2θ 38.6, rel. 30, (4 0 -3)
- d 2.284, 2θ 39.4, rel. 29, (0 2 0)
- d 1.711, 2θ 53.6, rel. 24, (6 2 1)
- d 1.633, 2θ 56.4, rel. 20, (4 2 -3)
- d 1.536, 2θ 60.3, rel. 16, (11 1 0)
- d 1.510, 2θ 61.4, rel. 15, (7 1 3)
- d 1.427, 2θ 65.4, rel. 12, (9 1 -4)

Cell and atoms:
```
data_Tl2In8Hg
_cell_length_a 18.3338
_cell_length_b 4.5689
_cell_length_c 7.3948
_cell_angle_alpha 90.00
_cell_angle_beta 101.89
_cell_angle_gamma 90.00
_space_group_name_H-M_alt 'C 1 2/m 1'
_space_group_IT_number 12
loop_
_space_group_symop_operation_xyz
'x,y,z'
'-x,-y,-z'
'-x,y,-z'
'x,-y,z'
'x+1/2,y+1/2,z'
'-x+1/2,-y+1/2,-z'
'-x+1/2,y+1/2,-z'
'x+1/2,-y+1/2,z'
loop_
_atom_site_label
_atom_site_fract_x
_atom_site_fract_y
_atom_site_fract_z
Tl1 0.2253 0.0000 0.1416
In1 0.0430 0.0000 0.2346
In2 0.0868 0.5000 0.9551
In3 0.1331 0.0000 0.6822
In4 0.1774 0.5000 0.4151
Hg1 0.0000 0.5000 0.5000
```

Diffraction record for Tl6In7Hg16. The powder XRD pattern is calculated, not measured: it uses a cell relaxed with GGA-PBE and Cu Kα (weighted mean of Kα1 and Kα2).
No peak broadening, texture or thermal motion is included.

The 10 most intense peaks (2θ = 10–90°), by angle:
- d 3.035, 2θ 29.4, rel. 12, (4 2 2)
- d 2.862, 2θ 31.3, rel. 51, (3 3 3)
- d 2.629, 2θ 34.1, rel. 100, (4 4 0)
- d 2.478, 2θ 36.2, rel. 12, (6 0 0)
- d 1.936, 2θ 46.9, rel. 15, (7 3 1)
- d 1.752, 2θ 52.2, rel. 11, (6 6 0)
- d 1.518, 2θ 61.1, rel. 14, (8 4 4)
- d 1.494, 2θ 62.1, rel. 14, (9 3 3)
- d 1.438, 2θ 64.9, rel. 14, (7 7 3)
- d 1.111, 2θ 87.8, rel. 13, (13 3 1)

Cell and atoms:
```
data_Tl6In7Hg16
_cell_length_a 14.8697
_cell_length_b 14.8697
_cell_length_c 14.8697
_cell_angle_alpha 90.00
_cell_angle_beta 90.00
_cell_angle_gamma 90.00
_space_group_name_H-M_alt 'F m -3 m'
_space_group_IT_number 225
_space_group_name_Hall '-F 4 2 3'
loop_
_atom_site_label
_atom_site_fract_x
_atom_site_fract_y
_atom_site_fract_z
Tl1 0.0000 0.0000 0.2035
In1 0.0000 0.0000 0.5000
In2 0.0000 0.2500 0.2500
Hg1 0.1205 0.1205 0.3795
Hg2 0.1562 0.1562 0.1562
```

What did the twelfth record say?
Diffraction record for Tl6In7Hg16. The powder XRD pattern is calculated, not measured: it uses a cell relaxed with GGA-PBE and Cu Kα (weighted mean of Kα1 and Kα2).
No peak broadening, texture or thermal motion is included.

The 10 most intense peaks (2θ = 10–90°), by angle:
- d 3.035, 2θ 29.4, rel. 12, (4 2 2)
- d 2.862, 2θ 31.3, rel. 51, (3 3 3)
- d 2.629, 2θ 34.1, rel. 100, (4 4 0)
- d 2.478, 2θ 36.2, rel. 12, (6 0 0)
- d 1.936, 2θ 46.9, rel. 15, (7 3 1)
- d 1.752, 2θ 52.2, rel. 11, (6 6 0)
- d 1.518, 2θ 61.1, rel. 14, (8 4 4)
- d 1.494, 2θ 62.1, rel. 14, (9 3 3)
- d 1.438, 2θ 64.9, rel. 14, (7 7 3)
- d 1.111, 2θ 87.8, rel. 13, (13 3 1)

Cell and atoms:
```
data_Tl6In7Hg16
_cell_length_a 14.8697
_cell_length_b 14.8697
_cell_length_c 14.8697
_cell_angle_alpha 90.00
_cell_angle_beta 90.00
_cell_angle_gamma 90.00
_space_group_name_H-M_alt 'F m -3 m'
_space_group_IT_number 225
_space_group_name_Hall '-F 4 2 3'
loop_
_atom_site_label
_atom_site_fract_x
_atom_site_fract_y
_atom_site_fract_z
Tl1 0.0000 0.0000 0.2035
In1 0.0000 0.0000 0.5000
In2 0.0000 0.2500 0.2500
Hg1 0.1205 0.1205 0.3795
Hg2 0.1562 0.1562 0.1562
```